Entry 1:
Starting from a cell relaxed with GGA-PBE, the PXRD pattern of Zn4GaCu2 was computed for copper Kα.
Intensities are scaled so that the largest is 100.

Atomic structure:
Unit cell a=5.268 b=6.454 c=6.507 alpha=97.36 beta=100.58 gamma=102.02
Fractional coordinates of all 14 atoms:
Zn 0.000 0.000 0.000
Zn 0.032 0.350 0.778
Zn 0.201 0.684 0.112
Zn 0.237 0.468 0.460
Zn 0.370 0.074 0.376
Zn 0.527 0.319 0.772
Zn 0.707 0.692 0.148
Zn 0.866 0.087 0.390
Ga 0.121 0.834 0.636
Ga 0.621 0.827 0.644
Cu 0.370 0.344 0.114
Cu 0.502 0.988 0.998
Cu 0.736 0.468 0.476
Cu 0.863 0.348 0.119

Most intense lines, 2θ = 10–90°, in order of rising 2θ:
| Position (°2θ) | d (Å) | I (rel.) |
| --- | --- | --- |
| 34.30 | 2.614 | 46 |
| 41.44 | 2.179 | 63 |
| 41.82 | 2.160 | 62 |
| 42.02 | 2.150 | 59 |
| 42.12 | 2.145 | 61 |
| 43.01 | 2.103 | 93 |
| 43.55 | 2.078 | 90 |
| 43.95 | 2.060 | 100 |
| 44.34 | 2.043 | 55 |
| 44.65 | 2.030 | 94 |

---

Entry 2:
Starting from a cell relaxed with GGA-PBE, the PXRD pattern of Na2TbUO6 was computed for copper Kα.
Intensities are scaled so that the largest is 100.

Atomic structure:
Unit cell a=5.817 b=5.961 c=10.155 alpha=90.00 beta=124.88 gamma=90.00
Fractional coordinates of all 20 atoms:
Na 0.242 0.037 0.249
Na 0.242 0.463 0.749
Na 0.758 0.537 0.251
Na 0.758 0.963 0.751
Tb 0.000 0.000 0.500
Tb 0.000 0.500 0.000
U 0.500 0.000 0.000
U 0.500 0.500 0.500
O 0.161 0.188 0.950
O 0.161 0.312 0.450
O 0.262 0.713 0.945
O 0.262 0.787 0.445
O 0.363 0.041 0.763
O 0.363 0.459 0.263
O 0.637 0.541 0.737
O 0.637 0.959 0.237
O 0.738 0.213 0.555
O 0.738 0.287 0.055
O 0.839 0.688 0.550
O 0.839 0.812 0.050

Most intense lines, 2θ = 10–90°, in order of rising 2θ:
| Position (°2θ) | d (Å) | I (rel.) |
| --- | --- | --- |
| 21.34 | 4.164 | 100 |
| 29.98 | 2.980 | 19 |
| 30.36 | 2.944 | 71 |
| 30.74 | 2.908 | 16 |
| 43.47 | 2.082 | 28 |
| 48.91 | 1.862 | 31 |
| 53.47 | 1.714 | 16 |
| 54.42 | 1.686 | 18 |
| 63.15 | 1.472 | 11 |
| 71.67 | 1.317 | 13 |

---

Entry 3:
Starting from a cell relaxed with GGA-PBE, the PXRD pattern of AcSmNi4 was computed for copper Kα.
Intensities are scaled so that the largest is 100.

Atomic structure:
Unit cell a=4.020 b=4.087 c=7.097 alpha=90.00 beta=90.00 gamma=90.00
Fractional coordinates of all 6 atoms:
Ac 0.000 0.000 0.000
Sm 0.000 0.500 0.500
Ni 0.500 0.000 0.338
Ni 0.500 0.000 0.662
Ni 0.500 0.500 0.173
Ni 0.500 0.500 0.827

Most intense lines, 2θ = 10–90°, in order of rising 2θ:
| Position (°2θ) | d (Å) | I (rel.) |
| --- | --- | --- |
| 25.13 | 3.544 | 24 |
| 33.71 | 2.659 | 100 |
| 44.27 | 2.046 | 37 |
| 45.10 | 2.010 | 12 |
| 52.32 | 1.748 | 7 |
| 56.78 | 1.621 | 22 |
| 65.04 | 1.434 | 23 |
| 74.61 | 1.272 | 7 |
| 74.68 | 1.271 | 7 |
| 75.91 | 1.253 | 9 |

---

Entry 4:
Starting from a cell relaxed with GGA-PBE, the PXRD pattern of ZrScBe17 was computed for copper Kα.
Intensities are scaled so that the largest is 100.

Atomic structure:
Unit cell a=5.676 b=5.676 c=5.676 alpha=82.96 beta=82.96 gamma=82.96
Fractional coordinates of all 19 atoms:
Zr 0.000 0.000 0.000
Sc 0.675 0.675 0.675
Be 0.050 0.338 0.624
Be 0.050 0.624 0.338
Be 0.179 0.680 0.680
Be 0.240 0.240 0.240
Be 0.335 0.335 0.838
Be 0.335 0.838 0.335
Be 0.338 0.050 0.624
Be 0.338 0.624 0.050
Be 0.434 0.434 0.434
Be 0.496 0.995 0.995
Be 0.624 0.050 0.338
Be 0.624 0.338 0.050
Be 0.680 0.179 0.680
Be 0.680 0.680 0.179
Be 0.838 0.335 0.335
Be 0.995 0.496 0.995
Be 0.995 0.995 0.496

Most intense lines, 2θ = 10–90°, in order of rising 2θ:
| Position (°2θ) | d (Å) | I (rel.) |
| --- | --- | --- |
| 15.83 | 5.600 | 81 |
| 21.18 | 4.195 | 41 |
| 23.66 | 3.760 | 91 |
| 24.34 | 3.657 | 29 |
| 28.60 | 3.121 | 29 |
| 34.21 | 2.621 | 100 |
| 37.45 | 2.402 | 27 |
| 41.60 | 2.171 | 39 |
| 48.42 | 1.880 | 34 |
| 48.79 | 1.867 | 60 |